For MnTe6O13, a cell relaxed with GGA+U gives the simulated powder diffractogram in this record (a wavelength of 1.5418 Å).
Intensities are scaled so that the largest is 100.

Atomic structure:
```
data_MnTe6O13
_cell_length_a 10.4194
_cell_length_b 10.4194
_cell_length_c 19.7197
_cell_angle_alpha 90.00
_cell_angle_beta 90.00
_cell_angle_gamma 120.00
_space_group_name_H-M_alt 'R -3'
_space_group_IT_number 148
_space_group_name_Hall '-R 3'
loop_
_atom_site_label
_atom_site_type_symbol
_atom_site_fract_x
_atom_site_fract_y
_atom_site_fract_z
Mn1 Mn 0.0000 0.0000 0.2446
Te1 Te 0.0591 0.2298 0.9067
Te2 Te 0.0855 0.2376 0.4032
O1 O 0.0000 0.0000 0.4087
O2 O 0.0040 0.2524 0.5544
O3 O 0.0494 0.1973 0.8123
O4 O 0.0529 0.1831 0.0726
O5 O 0.0923 0.8852 0.3071
```

Peak list (12 most intense, 10 to 80 degrees two-theta, sorted by position)
| index | Position (°2θ) | I/Imax |
| --- | --- | --- |
| 1 0 4 | 20.53 | 15.1 |
| 2 0 2 | 21.66 | 17.8 |
| 0 0 6 | 27.13 | 38.0 |
| 3 -2 2 | 27.68 | 100.0 |
| 3 0 0 | 29.70 | 9.4 |
| 2 1 4 | 31.91 | 49.8 |
| 3 -2 8 | 45.40 | 23.0 |
| 1 4 0 | 46.10 | 24.4 |
| 2 1 10 | 53.69 | 11.1 |
| 1 4 6 | 54.31 | 22.9 |
| 4 2 2 | 54.62 | 12.7 |
| 6 -4 4 | 57.16 | 11.3 |